Starting from a DFT-relaxed cell (GGA-PBE, Alexandria), the PXRD pattern of RbSc2MnTe4 was simulated for Cu Kα.
Kinematic intensities with the Lorentz-polarization factor, no thermal factor.

Most intense lines, 2θ from 10° to 90°, sorted by position:
hkl  2θ (°)  I/Imax
0 2 4  26.4  71
1 3 1  28.0  100
1 3 2  29.8  56
1 5 3  40.7  44
2 0 0  42.2  32
2 2 4  50.5  24
1 3 7  50.8  23
2 6 6  68.6  17

Cell and atoms:
abc: 4.286 15.077 15.086
angles: 90.00 90.00 90.00
Space group Cmcm (No. 63)
Symmetry-distinct sites (fractional):
Rb (0.000, 0.119, 0.250) [4 per cell]
Sc (0.000, 0.373, 0.065) [8 per cell]
Mn (0.000, 0.167, 0.750) [4 per cell]
Te (0.000, 0.000, 0.000) [4 per cell]
Te (0.000, 0.259, 0.601) [8 per cell]
Te (0.000, 0.438, 0.250) [4 per cell]



Starting from a DFT-relaxed cell (GGA-PBE, Alexandria), the PXRD pattern of RbBi6O8 was simulated for Cu Kα.
Kinematic intensities with the Lorentz-polarization factor, no thermal factor.

Most intense lines, 2θ from 10° to 90°, sorted by position:
hkl  2θ (°)  I/Imax
0 1 1  26.2  49
1 2 0  29.2  100
2 -1 1  30.6  24
0 2 1  32.6  22
2 1 1  38.0  34
4 -2 1  45.8  22
4 1 0  51.8  21
3 -1 2  57.7  28

Cell and atoms:
abc: 9.3461 9.3461 3.7454
angles: 90.00 90.00 120.00
Space group P-3 (No. 147)
Symmetry-distinct sites (fractional):
Rb (0.0000, 0.0000, 0.0000) [1 per cell]
Bi (0.1417, 0.4425, 0.2644) [6 per cell]
O (0.0257, 0.7108, 0.2571) [6 per cell]
O (0.3333, 0.6667, 0.6918) [2 per cell]



Starting from a DFT-relaxed cell (GGA-PBE, Alexandria), the PXRD pattern of In was simulated for Cu Kα.
Kinematic intensities with the Lorentz-polarization factor, no thermal factor.

Most intense lines, 2θ from 10° to 90°, sorted by position:
hkl  2θ (°)  I/Imax
1 0 1  30.4  38
0 0 9  33.4  48
1 0 4  33.7  100
0 1 5  35.6  88
1 1 0  53.6  36
1 0 13  58.7  19
0 1 14  62.4  17
1 1 9  64.6  41

Cell and atoms:
abc: 3.4225 3.4225 24.1131
angles: 90.00 90.00 120.00
Space group R-3m (No. 166, hexagonal axes)
Symmetry-distinct sites (fractional):
In (0.0000, 0.0000, 0.0000) [3 per cell]
In (0.0000, 0.0000, 0.2219) [6 per cell]